Structure and computed powder diffraction line list of Na2BeO2 (a crystal structure in the Materials Project, relaxed with PBE; a wavelength of 1.5418 Å).

Cell and atoms:
```
data_Na2BeO2
_cell_length_a 7.9298
_cell_length_b 5.3472
_cell_length_c 12.9532
_cell_angle_alpha 90.00
_cell_angle_beta 117.84
_cell_angle_gamma 90.00
_space_group_name_H-M_alt 'P 1 21/c 1'
_space_group_IT_number 14
loop_
_space_group_symop_operation_xyz
'x,y,z'
'-x,-y,-z'
'-x,y+1/2,-z+1/2'
'x,-y+1/2,z+1/2'
loop_
_atom_site_label
_atom_site_type_symbol
_atom_site_fract_x
_atom_site_fract_y
_atom_site_fract_z
Na1 Na 0.0762 0.0573 0.1248
Na2 Na 0.1728 0.5608 0.2639
Na3 Na 0.3550 0.6666 0.5335
Na4 Na 0.4188 0.1154 0.6664
Be1 Be 0.0888 0.0442 0.4610
Be2 Be 0.2600 0.1219 0.3775
O1 O 0.1272 0.6327 0.0752
O2 O 0.1276 0.6111 0.8588
O3 O 0.2497 0.2283 0.9794
O4 O 0.3616 0.1974 0.3071
```

Top 6 peaks for 10 to 90 degrees two-theta, low angle first:
hkl 3 0 -2, 2θ 33.99, d = 2.637 Å, intensity 48.6; hkl 0 1 4, 2θ 35.53, d = 2.526 Å, intensity 42.0; hkl 1 1 3, 2θ 35.78, d = 2.509 Å, intensity 68.1; hkl 2 1 -5, 2θ 39.34, d = 2.290 Å, intensity 100.0; hkl 2 1 2, 2θ 39.64, d = 2.274 Å, intensity 44.5; hkl 2 2 -1, 2θ 40.92, d = 2.206 Å, intensity 67.7

Structure and computed powder diffraction line list of Na6Be8O11 (a crystal structure in the Materials Project, relaxed with PBE; a wavelength of 1.5418 Å).

Cell and atoms:
```
data_Na6Be8O11
_cell_length_a 5.2930
_cell_length_b 6.4364
_cell_length_c 8.3746
_cell_angle_alpha 102.58
_cell_angle_beta 95.54
_cell_angle_gamma 103.97
_space_group_name_H-M_alt 'P -1'
_space_group_IT_number 2
loop_
_space_group_symop_operation_xyz
'x,y,z'
'-x,-y,-z'
loop_
_atom_site_label
_atom_site_type_symbol
_atom_site_fract_x
_atom_site_fract_y
_atom_site_fract_z
Na1 Na 0.0345 0.2580 0.0690
Na2 Na 0.2057 0.7746 0.2955
Na3 Na 0.2226 0.3869 0.4991
Be1 Be 0.1753 0.9782 0.6485
Be2 Be 0.4492 0.4315 0.8636
Be3 Be 0.4744 0.7414 0.7534
Be4 Be 0.4801 0.1385 0.9498
O1 O 0.0000 0.0000 0.5000
O2 O 0.2389 0.7545 0.6351
O3 O 0.2674 0.1716 0.8078
O4 O 0.3299 0.6079 0.9871
O5 O 0.3608 0.0464 0.1082
O6 O 0.4210 0.4693 0.2775
```

Top 6 peaks for 10 to 90 degrees two-theta, low angle first:
hkl 1 1 -3, 2θ 36.86, d = 2.438 Å, intensity 100.0; hkl 1 2 -1, 2θ 37.14, d = 2.421 Å, intensity 34.1; hkl -1 1 3, 2θ 39.74, d = 2.268 Å, intensity 25.3; hkl -2 2 1, 2θ 41.87, d = 2.158 Å, intensity 39.8; hkl 2 -1 2, 2θ 42.32, d = 2.136 Å, intensity 57.6; hkl 1 2 1, 2θ 43.09, d = 2.099 Å, intensity 28.2

Structure and computed powder diffraction line list of NaBe4SbO7 (a crystal structure in the Materials Project, relaxed with PBE; a wavelength of 1.5418 Å).

Cell and atoms:
```
data_NaBe4SbO7
_cell_length_a 5.4877
_cell_length_b 5.4877
_cell_length_c 8.9444
_cell_angle_alpha 90.00
_cell_angle_beta 90.00
_cell_angle_gamma 120.00
_space_group_name_H-M_alt 'P 63 m c'
_space_group_IT_number 186
_space_group_name_Hall 'P 6c -2c'
loop_
_atom_site_label
_atom_site_type_symbol
_atom_site_fract_x
_atom_site_fract_y
_atom_site_fract_z
Na1 Na 0.3333 0.6667 0.0000
Be1 Be 0.0000 0.0000 0.4356
Be2 Be 0.1656 0.3312 0.6882
Sb1 Sb 0.3333 0.6667 0.3752
O1 O 0.0000 0.0000 0.2501
O2 O 0.0102 0.5051 0.7458
O3 O 0.1607 0.3215 0.5038
```

Top 6 peaks for 10 to 90 degrees two-theta, low angle first:
hkl 0 0 2, 2θ 19.85, d = 4.472 Å, intensity 23.5; hkl 1 0 1, 2θ 21.17, d = 4.197 Å, intensity 100.0; hkl 1 1 0, 2θ 32.64, d = 2.744 Å, intensity 30.4; hkl 1 0 3, 2θ 35.55, d = 2.526 Å, intensity 39.4; hkl 1 1 2, 2θ 38.49, d = 2.339 Å, intensity 40.7; hkl 2 0 3, 2θ 49.02, d = 1.858 Å, intensity 22.1

Structure and computed powder diffraction line list of NaBe4SbO7 (a crystal structure in the Materials Project, relaxed with PBE; a wavelength of 1.5418 Å).

Cell and atoms:
```
data_NaBe4SbO7
_cell_length_a 5.7521
_cell_length_b 5.7521
_cell_length_c 9.3455
_cell_angle_alpha 90.00
_cell_angle_beta 90.00
_cell_angle_gamma 120.00
_space_group_name_H-M_alt 'P 63 m c'
_space_group_IT_number 186
_space_group_name_Hall 'P 6c -2c'
loop_
_atom_site_label
_atom_site_type_symbol
_atom_site_fract_x
_atom_site_fract_y
_atom_site_fract_z
Na1 Na 0.3333 0.6667 0.0000
Be1 Be 0.0000 0.0000 0.0612
Be2 Be 0.1594 0.3187 0.3081
Sb1 Sb 0.3333 0.6667 0.5253
O1 O 0.0000 0.0000 0.3833
O2 O 0.0419 0.5209 0.3724
O3 O 0.1439 0.2878 0.1388
```

Top 6 peaks for 10 to 90 degrees two-theta, low angle first:
hkl 0 0 2, 2θ 18.99, d = 4.673 Å, intensity 39.1; hkl 1 0 1, 2θ 20.20, d = 4.396 Å, intensity 100.0; hkl 1 0 2, 2θ 26.15, d = 3.408 Å, intensity 36.1; hkl 1 1 0, 2θ 31.10, d = 2.876 Å, intensity 43.8; hkl 1 1 2, 2θ 36.69, d = 2.449 Å, intensity 75.2; hkl 2 0 1, 2θ 37.36, d = 2.407 Å, intensity 41.8